RbSnH: calculated X-ray diffraction stick pattern (Cu Kα X-rays), based on a cell relaxed with PBE.
Peak positions follow from Bragg's law for the DFT cell and can differ from measured ones.

Principal peaks in the range 15 to 90 degrees two-theta, most intense first:
2θ = 25.37°, I 100, (1 1 0)
2θ = 31.36°, I 86, (2 0 -1)
2θ = 31.46°, I 50, (1 1 -2)
2θ = 32.24°, I 50, (0 1 2)
2θ = 24.90°, I 46, (1 0 -2)
2θ = 16.81°, I 28, (1 0 0)
2θ = 38.27°, I 26, (0 2 0)
2θ = 50.26°, I 23, (2 2 -1)
2θ = 45.49°, I 22, (2 1 1)
2θ = 46.20°, I 17, (1 2 -2)

Structural model:
```
RbSnH
1.0
5.711 0.000 0.000
0.000 4.704 0.000
-2.829 0.000 6.880
Rb Sn H
2 2 2
Cartesian
0.104 0.000 1.984
2.778 2.352 4.896
-0.036 4.700 5.937
2.918 2.349 0.943
-1.860 0.009 6.042
4.742 2.361 0.838
```